No. 1
The following is a theoretical powder diffraction line list of Tb2Nd5Th2. It was derived from DFT lattice parameters and positions (GGA-PBE), using CuKα.

Crystal structure
a b c (Å): 6.161 6.873 8.636
angles (deg): 78.64 69.56 64.47
Space group P-1 (No. 2)
Symmetry-distinct sites (fractional):
Tb 0.187 0.429 0.127 [2 per cell]
Nd 0.000 0.000 0.000 [1 per cell]
Nd 0.396 0.684 0.654 [2 per cell]
Nd 0.494 0.867 0.236 [2 per cell]
Th 0.041 0.231 0.548 [2 per cell]

Largest 10 diffraction maxima, sorted by position, 2θ = 10–90°:
- 3.080 Å, 28.99°, I = 70
- 2.946 Å, 30.34°, I = 100
- 2.847 Å, 31.42°, I = 78
- 2.832 Å, 31.59°, I = 79
- 2.823 Å, 31.70°, I = 76
- 2.806 Å, 31.90°, I = 78
- 2.151 Å, 42.00°, I = 27
- 2.107 Å, 42.91°, I = 25
- 1.890 Å, 48.14°, I = 40
- 1.679 Å, 54.65°, I = 22

No. 2
The following is a theoretical powder diffraction line list of Hf2TiCoN. It was derived from DFT lattice parameters and positions (GGA-PBE), using CuKα.

Crystal structure
a b c (Å): 3.415 3.415 12.345
angles (deg): 90.00 90.00 90.00
Space group P4/nmm (No. 129, origin choice 2)
Symmetry-distinct sites (fractional):
Hf 0.250 0.250 0.089 [2 per cell]
Hf 0.250 0.250 0.732 [2 per cell]
Ti 0.250 0.750 0.500 [2 per cell]
Co 0.250 0.250 0.331 [2 per cell]
N 0.250 0.250 0.913 [2 per cell]

Largest 10 diffraction maxima, sorted by position, 2θ = 10–90°:
- 2.988 Å, 29.90°, I = 23
- 2.628 Å, 34.12°, I = 100
- 2.469 Å, 36.39°, I = 25
- 2.414 Å, 37.24°, I = 54
- 2.370 Å, 37.97°, I = 18
- 2.249 Å, 40.10°, I = 17
- 1.726 Å, 53.05°, I = 19
- 1.707 Å, 53.69°, I = 29
- 1.566 Å, 58.98°, I = 19
- 1.432 Å, 65.16°, I = 32

No. 3
The following is a theoretical powder diffraction line list of La2Ce2Te2Br5. It was derived from DFT lattice parameters and positions (GGA-PBE), using CuKα.

Crystal structure
a b c (Å): 5.847 5.847 27.301
angles (deg): 90.00 90.00 90.00
Space group I4/mmm (No. 139)
Symmetry-distinct sites (fractional):
La 0.000 0.000 0.111 [4 per cell]
Ce 0.000 0.000 0.332 [4 per cell]
Te 0.000 0.000 0.221 [4 per cell]
Br 0.000 0.000 0.000 [2 per cell]
Br 0.000 0.500 0.115 [8 per cell]

Largest 10 diffraction maxima, sorted by position, 2θ = 10–90°:
- 6.825 Å, 12.97°, I = 49
- 5.718 Å, 15.50°, I = 27
- 4.135 Å, 21.49°, I = 48
- 3.957 Å, 22.47°, I = 23
- 2.924 Å, 30.58°, I = 95
- 2.692 Å, 33.29°, I = 100
- 2.067 Å, 43.79°, I = 35
- 1.980 Å, 45.82°, I = 73
- 1.430 Å, 65.24°, I = 25
- 1.285 Å, 73.76°, I = 20

Repeat the second record exactly.
The following is a theoretical powder diffraction line list of Hf2TiCoN. It was derived from DFT lattice parameters and positions (GGA-PBE), using CuKα.

Crystal structure
a b c (Å): 3.415 3.415 12.345
angles (deg): 90.00 90.00 90.00
Space group P4/nmm (No. 129, origin choice 2)
Symmetry-distinct sites (fractional):
Hf 0.250 0.250 0.089 [2 per cell]
Hf 0.250 0.250 0.732 [2 per cell]
Ti 0.250 0.750 0.500 [2 per cell]
Co 0.250 0.250 0.331 [2 per cell]
N 0.250 0.250 0.913 [2 per cell]

Largest 10 diffraction maxima, sorted by position, 2θ = 10–90°:
- 2.988 Å, 29.90°, I = 23
- 2.628 Å, 34.12°, I = 100
- 2.469 Å, 36.39°, I = 25
- 2.414 Å, 37.24°, I = 54
- 2.370 Å, 37.97°, I = 18
- 2.249 Å, 40.10°, I = 17
- 1.726 Å, 53.05°, I = 19
- 1.707 Å, 53.69°, I = 29
- 1.566 Å, 58.98°, I = 19
- 1.432 Å, 65.16°, I = 32

> Number 3 is which compound?

La2Ce2Te2Br5